[1]
Diffraction record for LiVCuS. The powder diffraction line list is calculated, not measured: it uses the PBE geometry in Alexandria and Cu Kα (weighted mean of Kα1 and Kα2).
Intensities are scaled so that the largest is 100.

Atomic structure:
```
data_LiVCuS
_cell_length_a 5.3485
_cell_length_b 3.0865
_cell_length_c 7.2741
_cell_angle_alpha 90.00
_cell_angle_beta 104.11
_cell_angle_gamma 90.00
_space_group_name_H-M_alt 'C 1 m 1'
_space_group_IT_number 8
loop_
_space_group_symop_operation_xyz
'x,y,z'
'x,-y,z'
'x+1/2,y+1/2,z'
'x+1/2,-y+1/2,z'
loop_
_atom_site_label
_atom_site_fract_x
_atom_site_fract_y
_atom_site_fract_z
Li1 0.0000 0.0000 0.0000
V1 0.1474 0.0000 0.4434
Cu1 0.0681 0.5000 0.7089
S1 0.2455 0.5000 0.2365
```

The 10 most intense peaks (2θ = 15–90°), most intense first:
d = 2.260 Å, 2θ 39.88, I = 100.0; d = 2.592 Å, 2θ 34.60, I = 78.1; d = 2.003 Å, 2θ 45.28, I = 59.8; d = 1.544 Å, 2θ 59.92, I = 32.7; d = 1.659 Å, 2θ 55.37, I = 20.7; d = 1.764 Å, 2θ 51.84, I = 14.6; d = 3.527 Å, 2θ 25.25, I = 14.4; d = 1.275 Å, 2θ 74.42, I = 13.7; d = 1.162 Å, 2θ 83.14, I = 13.4; d = 1.223 Å, 2θ 78.18, I = 10.4

---

[2]
Diffraction record for Sm4Pt. The powder diffraction line list is calculated, not measured: it uses the PBE geometry in Alexandria and Cu Kα (weighted mean of Kα1 and Kα2).
Intensities are scaled so that the largest is 100.

Atomic structure:
```
data_Sm4Pt
_cell_length_a 8.9723
_cell_length_b 8.9723
_cell_length_c 7.8782
_cell_angle_alpha 90.00
_cell_angle_beta 90.00
_cell_angle_gamma 90.00
_space_group_name_H-M_alt 'I -4 2 d'
_space_group_IT_number 122
_space_group_name_Hall 'I -4 2bw'
loop_
_atom_site_label
_atom_site_fract_x
_atom_site_fract_y
_atom_site_fract_z
Sm1 0.0416 0.7004 0.4075
Pt1 0.0000 0.0000 0.5000
```

The 10 most intense peaks (2θ = 15–90°), most intense first:
d = 2.960 Å, 2θ 30.19, I = 100.0; d = 2.796 Å, 2θ 32.01, I = 69.3; d = 2.373 Å, 2θ 37.92, I = 53.0; d = 2.520 Å, 2θ 35.62, I = 43.1; d = 2.302 Å, 2θ 39.13, I = 40.8; d = 1.674 Å, 2θ 54.83, I = 38.1; d = 4.486 Å, 2θ 19.79, I = 28.4; d = 1.750 Å, 2θ 52.29, I = 27.2; d = 2.837 Å, 2θ 31.53, I = 25.6; d = 3.347 Å, 2θ 26.64, I = 21.2

---

Number 1 is which compound?
LiVCuS